Pm5SmDy2Th: computed powder diffraction line list (λ = 1.5418 Å (Cu Kα)), based on the PBE geometry in Alexandria.
Neutral-atom scattering factors, no anomalous dispersion.

Crystal structure
a b c (Å): 5.814 21.777 9.894
angles (deg): 90.00 90.00 90.00
Space group Cmc2_1 (No. 36)
Asymmetric unit:
Pm 0.000 0.015 0.000 x4
Pm 0.000 0.275 0.298 x4
Pm 0.000 0.302 0.693 x4
Pm 0.000 0.401 0.024 x4
Pm 0.000 0.467 0.724 x4
Sm 0.000 0.187 0.999 x4
Dy 0.000 0.119 0.319 x4
Dy 0.000 0.124 0.698 x4
Th 0.000 0.408 0.405 x4

Largest 12 diffraction maxima, low angle first, 10° ≤ 2θ ≤ 90°:
2θ = 26.15°, rel. 13
2θ = 30.76°, rel. 37
2θ = 31.42°, rel. 100
2θ = 32.65°, rel. 13
2θ = 33.59°, rel. 14
2θ = 33.91°, rel. 15
2θ = 40.80°, rel. 8
2θ = 52.68°, rel. 8
2θ = 53.83°, rel. 5
2θ = 55.10°, rel. 21
2θ = 56.49°, rel. 11
2θ = 62.25°, rel. 10

=====

Pm5SmDyTm2: computed powder diffraction line list (λ = 1.5418 Å (Cu Kα)), based on the PBE geometry in Alexandria.
Neutral-atom scattering factors, no anomalous dispersion.

Crystal structure
a b c (Å): 5.635 20.262 10.690
angles (deg): 90.00 90.00 90.00
Space group Cmc2_1 (No. 36)
Asymmetric unit:
Pm 0.000 0.017 0.000 x4
Pm 0.000 0.281 0.288 x4
Pm 0.000 0.298 0.683 x4
Pm 0.000 0.390 0.003 x4
Pm 0.000 0.480 0.720 x4
Sm 0.000 0.200 0.988 x4
Dy 0.000 0.411 0.435 x4
Tm 0.000 0.110 0.717 x4
Tm 0.000 0.116 0.294 x4

Largest 12 diffraction maxima, low angle first, 10° ≤ 2θ ≤ 90°:
2θ = 26.51°, rel. 9
2θ = 27.70°, rel. 15
2θ = 30.00°, rel. 34
2θ = 31.76°, rel. 38
2θ = 31.94°, rel. 100
2θ = 33.53°, rel. 12
2θ = 42.64°, rel. 9
2θ = 46.85°, rel. 10
2θ = 50.52°, rel. 10
2θ = 56.69°, rel. 20
2θ = 58.76°, rel. 12
2θ = 60.92°, rel. 12

=====

PmSmDy2Tm2: computed powder diffraction line list (λ = 1.5418 Å (Cu Kα)), based on the PBE geometry in Alexandria.
Neutral-atom scattering factors, no anomalous dispersion.

Crystal structure
a b c (Å): 6.531 17.785 3.390
angles (deg): 90.00 90.00 90.00
Space group Pnnm (No. 58)
Asymmetric unit:
Pm 0.000 0.000 0.000 x2
Sm 0.000 0.500 0.000 x2
Dy 0.225 0.186 0.000 x4
Tm 0.224 0.351 0.500 x4

Largest 12 diffraction maxima, low angle first, 10° ≤ 2θ ≤ 90°:
2θ = 26.77°, rel. 35
2θ = 29.13°, rel. 100
2θ = 30.15°, rel. 80
2θ = 30.37°, rel. 94
2θ = 31.38°, rel. 35
2θ = 33.19°, rel. 34
2θ = 34.07°, rel. 59
2θ = 36.04°, rel. 36
2θ = 41.30°, rel. 73
2θ = 54.11°, rel. 25
2θ = 55.64°, rel. 31
2θ = 62.63°, rel. 25

=====

PmSm2Dy2Tm: computed powder diffraction line list (λ = 1.5418 Å (Cu Kα)), based on the PBE geometry in Alexandria.
Neutral-atom scattering factors, no anomalous dispersion.

Crystal structure
a b c (Å): 6.944 16.370 3.495
angles (deg): 90.00 90.00 90.00
Space group Pnnm (No. 58)
Asymmetric unit:
Pm 0.000 0.000 0.000 x2
Sm 0.248 0.341 0.000 x4
Dy 0.249 0.154 0.500 x4
Tm 0.000 0.500 0.500 x2

Largest 12 diffraction maxima, low angle first, 10° ≤ 2θ ≤ 90°:
2θ = 27.91°, rel. 45
2θ = 30.37°, rel. 100
2θ = 32.83°, rel. 38
2θ = 33.86°, rel. 50
2θ = 36.90°, rel. 61
2θ = 46.12°, rel. 14
2θ = 54.07°, rel. 32
2θ = 57.09°, rel. 14
2θ = 62.07°, rel. 26
2θ = 62.75°, rel. 12
2θ = 63.53°, rel. 12
2θ = 63.82°, rel. 16

=====

Pm2Sm2DyTm: computed powder diffraction line list (λ = 1.5418 Å (Cu Kα)), based on the PBE geometry in Alexandria.
Neutral-atom scattering factors, no anomalous dispersion.

Crystal structure
a b c (Å): 7.044 5.675 9.824
angles (deg): 90.00 90.00 90.00
Space group Pmma (No. 51)
Asymmetric unit:
Pm 0.250 0.000 0.161 x2
Pm 0.250 0.500 0.672 x2
Sm 0.000 0.500 0.000 x2
Sm 0.250 0.000 0.822 x2
Dy 0.250 0.500 0.343 x2
Tm 0.000 0.000 0.500 x2

Largest 12 diffraction maxima, low angle first, 10° ≤ 2θ ≤ 90°:
2θ = 31.25°, rel. 93
2θ = 31.54°, rel. 100
2θ = 40.85°, rel. 9
2θ = 44.99°, rel. 34
2θ = 51.92°, rel. 8
2θ = 55.98°, rel. 35
2θ = 56.16°, rel. 19
2θ = 62.03°, rel. 29
2θ = 65.85°, rel. 12
2θ = 74.69°, rel. 15
2θ = 80.00°, rel. 14
2θ = 88.52°, rel. 11

=====

Pm2SmDyY5: computed powder diffraction line list (λ = 1.5418 Å (Cu Kα)), based on the PBE geometry in Alexandria.
Neutral-atom scattering factors, no anomalous dispersion.

Crystal structure
a b c (Å): 8.659 8.659 15.731
angles (deg): 90.00 90.00 90.00
Space group I4/mcm (No. 140)
Asymmetric unit:
Pm 0.118 0.382 0.000 x8
Sm 0.000 0.500 0.250 x4
Dy 0.000 0.000 0.250 x4
Y 0.000 0.000 0.000 x4
Y 0.208 0.292 0.362 x16

Largest 12 diffraction maxima, low angle first, 10° ≤ 2θ ≤ 90°:
2θ = 28.66°, rel. 55
2θ = 29.17°, rel. 50
2θ = 30.71°, rel. 100
2θ = 32.70°, rel. 14
2θ = 36.81°, rel. 16
2θ = 37.90°, rel. 22
2θ = 40.18°, rel. 16
2θ = 43.35°, rel. 21
2θ = 46.16°, rel. 15
2θ = 52.69°, rel. 23
2θ = 55.54°, rel. 13
2θ = 59.30°, rel. 14